No. 1
Theoretical PXRD pattern
Compound: CdI2
Radiation: Cu Ka
Structure: a GGA-PBE-relaxed structure
Kinematic intensities with the Lorentz-polarization factor, no thermal factor.

Crystal structure
```
data_CdI2
_cell_length_a 4.3321
_cell_length_b 4.3321
_cell_length_c 74.7144
_cell_angle_alpha 90.00
_cell_angle_beta 90.00
_cell_angle_gamma 120.00
_space_group_name_H-M_alt 'P 3 m 1'
_space_group_IT_number 156
loop_
_space_group_symop_operation_xyz
'x,y,z'
'-y,x-y,z'
'-x+y,-x,z'
'-y,-x,z'
'-x+y,y,z'
'x,x-y,z'
loop_
_atom_site_label
_atom_site_type_symbol
_atom_site_fract_x
_atom_site_fract_y
_atom_site_fract_z
Cd1 Cd 0.0000 0.0000 0.0000
Cd2 Cd 0.0000 0.0000 0.1000
Cd3 Cd 0.0000 0.0000 0.2000
Cd4 Cd 0.0000 0.0000 0.3000
Cd5 Cd 0.0000 0.0000 0.4000
Cd6 Cd 0.0000 0.0000 0.5000
Cd7 Cd 0.0000 0.0000 0.7000
Cd8 Cd 0.0000 0.0000 0.8000
Cd9 Cd 0.6667 0.3333 0.6000
Cd10 Cd 0.6667 0.3333 0.9000
I1 I 0.0000 0.0000 0.5769
I2 I 0.0000 0.0000 0.8769
I3 I 0.3333 0.6667 0.0231
I4 I 0.3333 0.6667 0.1231
I5 I 0.3333 0.6667 0.2231
I6 I 0.3333 0.6667 0.3231
I7 I 0.3333 0.6667 0.4231
I8 I 0.3333 0.6667 0.5231
I9 I 0.3333 0.6667 0.6231
I10 I 0.3333 0.6667 0.7231
I11 I 0.3333 0.6667 0.8231
I12 I 0.3333 0.6667 0.9231
I13 I 0.6667 0.3333 0.0769
I14 I 0.6667 0.3333 0.1769
I15 I 0.6667 0.3333 0.2769
I16 I 0.6667 0.3333 0.3769
I17 I 0.6667 0.3333 0.4769
I18 I 0.6667 0.3333 0.6769
I19 I 0.6667 0.3333 0.7769
I20 I 0.6667 0.3333 0.9769
```

Peak list (10 most intense, 2θ = 10–80°, sorted by position)
2theta  d [Å]  Rel. int.
11.84  7.471  513
26.59  3.353  1000
33.86  2.647  375
41.70  2.166  445
43.50  2.080  123
43.62  2.075  279
50.14  1.819  175
66.05  1.415  190
67.20  1.393  142
77.44  1.232  123


No. 2
Theoretical PXRD pattern
Compound: CdI2
Radiation: Cu Ka
Structure: a GGA-PBE-relaxed structure
Kinematic intensities with the Lorentz-polarization factor, no thermal factor.

Crystal structure
```
data_CdI2
_cell_length_a 4.3348
_cell_length_b 4.3348
_cell_length_c 91.9039
_cell_angle_alpha 90.00
_cell_angle_beta 90.00
_cell_angle_gamma 120.00
_space_group_name_H-M_alt 'P 63 m c'
_space_group_IT_number 186
_space_group_name_Hall 'P 6c -2c'
loop_
_atom_site_label
_atom_site_type_symbol
_atom_site_fract_x
_atom_site_fract_y
_atom_site_fract_z
Cd1 Cd 0.3333 0.6667 0.0000
Cd2 Cd 0.3333 0.6667 0.0833
Cd3 Cd 0.3333 0.6667 0.2500
Cd4 Cd 0.3333 0.6667 0.4166
Cd5 Cd 0.3333 0.6667 0.6666
Cd6 Cd 0.3333 0.6667 0.8333
I1 I 0.0000 0.0000 0.0187
I2 I 0.0000 0.0000 0.1020
I3 I 0.0000 0.0000 0.1854
I4 I 0.0000 0.0000 0.2687
I5 I 0.0000 0.0000 0.3521
I6 I 0.0000 0.0000 0.4354
I7 I 0.3333 0.6667 0.1479
I8 I 0.3333 0.6667 0.3146
I9 I 0.3333 0.6667 0.4813
I10 I 0.3333 0.6667 0.5646
I11 I 0.3333 0.6667 0.7312
I12 I 0.3333 0.6667 0.8979
```

Peak list (10 most intense, 2θ = 10–80°, sorted by position)
2theta  d [Å]  Rel. int.
11.55  7.659  732
26.44  3.371  1000
28.96  3.084  275
30.13  2.966  281
33.43  2.681  252
37.13  2.422  195
41.67  2.167  529
42.84  2.111  258
64.99  1.435  206
76.08  1.251  199


No. 3
Theoretical PXRD pattern
Compound: CdI2
Radiation: Cu Ka
Structure: a GGA-PBE-relaxed structure
Kinematic intensities with the Lorentz-polarization factor, no thermal factor.

Crystal structure
```
data_CdI2
_cell_length_a 4.3342
_cell_length_b 4.3342
_cell_length_c 51.8718
_cell_angle_alpha 90.00
_cell_angle_beta 90.00
_cell_angle_gamma 120.00
_space_group_name_H-M_alt 'P 3 m 1'
_space_group_IT_number 156
loop_
_space_group_symop_operation_xyz
'x,y,z'
'-y,x-y,z'
'-x+y,-x,z'
'-y,-x,z'
'-x+y,y,z'
'x,x-y,z'
loop_
_atom_site_label
_atom_site_type_symbol
_atom_site_fract_x
_atom_site_fract_y
_atom_site_fract_z
Cd1 Cd 0.0000 0.0000 0.0000
Cd2 Cd 0.0000 0.0000 0.1429
Cd3 Cd 0.0000 0.0000 0.2858
Cd4 Cd 0.0000 0.0000 0.4286
Cd5 Cd 0.0000 0.0000 0.5714
Cd6 Cd 0.3333 0.6667 0.7143
Cd7 Cd 0.3333 0.6667 0.8571
I1 I 0.0000 0.0000 0.6811
I2 I 0.0000 0.0000 0.8239
I3 I 0.3333 0.6667 0.1096
I4 I 0.3333 0.6667 0.2525
I5 I 0.3333 0.6667 0.3953
I6 I 0.3333 0.6667 0.5382
I7 I 0.3333 0.6667 0.9667
I8 I 0.6667 0.3333 0.0332
I9 I 0.6667 0.3333 0.1761
I10 I 0.6667 0.3333 0.3190
I11 I 0.6667 0.3333 0.4618
I12 I 0.6667 0.3333 0.6047
I13 I 0.6667 0.3333 0.7476
I14 I 0.6667 0.3333 0.8904
```

Peak list (10 most intense, 2θ = 10–80°, sorted by position)
2theta  d [Å]  Rel. int.
11.94  7.410  524
26.62  3.348  1000
27.46  3.248  142
32.76  2.734  155
34.00  2.637  301
41.68  2.167  481
43.88  2.063  266
50.14  1.819  171
66.39  1.408  206
67.18  1.393  141


No. 4
Theoretical PXRD pattern
Compound: CdI2
Radiation: Cu Ka
Structure: a GGA-PBE-relaxed structure
Kinematic intensities with the Lorentz-polarization factor, no thermal factor.

Crystal structure
```
data_CdI2
_cell_length_a 4.3326
_cell_length_b 4.3326
_cell_length_c 59.2657
_cell_angle_alpha 90.00
_cell_angle_beta 90.00
_cell_angle_gamma 120.00
_space_group_name_H-M_alt 'P 63 m c'
_space_group_IT_number 186
_space_group_name_Hall 'P 6c -2c'
loop_
_atom_site_label
_atom_site_type_symbol
_atom_site_fract_x
_atom_site_fract_y
_atom_site_fract_z
Cd1 Cd 0.3333 0.6667 0.0000
Cd2 Cd 0.3333 0.6667 0.1250
Cd3 Cd 0.3333 0.6667 0.3750
Cd4 Cd 0.3333 0.6667 0.7500
I1 I 0.0000 0.0000 0.0291
I2 I 0.0000 0.0000 0.1541
I3 I 0.0000 0.0000 0.2791
I4 I 0.0000 0.0000 0.4041
I5 I 0.3333 0.6667 0.2209
I6 I 0.3333 0.6667 0.4709
I7 I 0.3333 0.6667 0.5958
I8 I 0.3333 0.6667 0.8458
```

Peak list (10 most intense, 2θ = 10–80°, sorted by position)
2theta  d [Å]  Rel. int.
11.95  7.408  570
26.63  3.347  1000
29.00  3.079  283
30.87  2.897  289
34.01  2.636  219
37.50  2.399  192
41.69  2.166  526
43.89  2.063  257
50.16  1.819  171
66.41  1.408  241


No. 5
Theoretical PXRD pattern
Compound: CdI2
Radiation: Cu Ka
Structure: a GGA-PBE-relaxed structure
Kinematic intensities with the Lorentz-polarization factor, no thermal factor.

Crystal structure
```
data_CdI2
_cell_length_a 4.3329
_cell_length_b 4.3329
_cell_length_c 29.6400
_cell_angle_alpha 90.00
_cell_angle_beta 90.00
_cell_angle_gamma 120.00
_space_group_name_H-M_alt 'P -3 m 1'
_space_group_IT_number 164
_space_group_name_Hall '-P 3 2"'
loop_
_atom_site_label
_atom_site_type_symbol
_atom_site_fract_x
_atom_site_fract_y
_atom_site_fract_z
Cd1 Cd 0.0000 0.0000 0.0000
Cd2 Cd 0.0000 0.0000 0.5000
Cd3 Cd 0.3333 0.6667 0.2500
I1 I 0.0000 0.0000 0.3083
I2 I 0.3333 0.6667 0.0583
I3 I 0.3333 0.6667 0.5583
I4 I 0.3333 0.6667 0.8083
```

Peak list (10 most intense, 2θ = 10–80°, sorted by position)
2theta  d [Å]  Rel. int.
11.94  7.410  795
25.39  3.508  321
26.63  3.348  1000
28.14  3.171  397
29.90  2.988  605
31.87  2.808  272
38.71  2.326  393
41.69  2.166  735
43.88  2.063  241
66.40  1.408  317


No. 6
Theoretical PXRD pattern
Compound: CdI2
Radiation: Cu Ka
Structure: a GGA-PBE-relaxed structure
Kinematic intensities with the Lorentz-polarization factor, no thermal factor.

Crystal structure
```
data_CdI2
_cell_length_a 4.3423
_cell_length_b 4.3423
_cell_length_c 139.6480
_cell_angle_alpha 90.00
_cell_angle_beta 90.00
_cell_angle_gamma 120.00
_space_group_name_H-M_alt 'P 3 m 1'
_space_group_IT_number 156
loop_
_space_group_symop_operation_xyz
'x,y,z'
'-y,x-y,z'
'-x+y,-x,z'
'-y,-x,z'
'-x+y,y,z'
'x,x-y,z'
loop_
_atom_site_label
_atom_site_type_symbol
_atom_site_fract_x
_atom_site_fract_y
_atom_site_fract_z
Cd1 Cd 0.0000 0.0000 0.0000
Cd2 Cd 0.0000 0.0000 0.0526
Cd3 Cd 0.0000 0.0000 0.1579
Cd4 Cd 0.0000 0.0000 0.2105
Cd5 Cd 0.0000 0.0000 0.3158
Cd6 Cd 0.0000 0.0000 0.4211
Cd7 Cd 0.0000 0.0000 0.5790
Cd8 Cd 0.0000 0.0000 0.6316
Cd9 Cd 0.0000 0.0000 0.7368
Cd10 Cd 0.0000 0.0000 0.8947
Cd11 Cd 0.3333 0.6667 0.1053
Cd12 Cd 0.3333 0.6667 0.2632
Cd13 Cd 0.3333 0.6667 0.3684
Cd14 Cd 0.3333 0.6667 0.4737
Cd15 Cd 0.3333 0.6667 0.5263
Cd16 Cd 0.3333 0.6667 0.6842
Cd17 Cd 0.3333 0.6667 0.7895
Cd18 Cd 0.3333 0.6667 0.8421
Cd19 Cd 0.3333 0.6667 0.9474
I1 I 0.0000 0.0000 0.1177
I2 I 0.0000 0.0000 0.2755
I3 I 0.0000 0.0000 0.3808
I4 I 0.0000 0.0000 0.4861
I5 I 0.0000 0.0000 0.5387
I6 I 0.0000 0.0000 0.6966
I7 I 0.0000 0.0000 0.8019
I8 I 0.0000 0.0000 0.8545
I9 I 0.0000 0.0000 0.9598
I10 I 0.3333 0.6667 0.0124
I11 I 0.3333 0.6667 0.0650
I12 I 0.3333 0.6667 0.1703
I13 I 0.3333 0.6667 0.2229
I14 I 0.3333 0.6667 0.3282
I15 I 0.3333 0.6667 0.4334
I16 I 0.3333 0.6667 0.5913
I17 I 0.3333 0.6667 0.6439
I18 I 0.3333 0.6667 0.7492
I19 I 0.3333 0.6667 0.9071
I20 I 0.6667 0.3333 0.0402
I21 I 0.6667 0.3333 0.0929
I22 I 0.6667 0.3333 0.1455
I23 I 0.6667 0.3333 0.1982
I24 I 0.6667 0.3333 0.2508
I25 I 0.6667 0.3333 0.3034
I26 I 0.6667 0.3333 0.3560
I27 I 0.6667 0.3333 0.4087
I28 I 0.6667 0.3333 0.4613
I29 I 0.6667 0.3333 0.5139
I30 I 0.6667 0.3333 0.5666
I31 I 0.6667 0.3333 0.6192
I32 I 0.6667 0.3333 0.6718
I33 I 0.6667 0.3333 0.7245
I34 I 0.6667 0.3333 0.7771
I35 I 0.6667 0.3333 0.8297
I36 I 0.6667 0.3333 0.8824
I37 I 0.6667 0.3333 0.9350
I38 I 0.6667 0.3333 0.9876
```

Peak list (10 most intense, 2θ = 10–80°, sorted by position)
2theta  d [Å]  Rel. int.
12.04  7.350  529
26.63  3.348  1000
28.99  3.081  194
30.98  2.887  197
34.11  2.628  213
41.60  2.171  526
44.12  2.053  254
50.07  1.822  175
66.68  1.403  230
67.07  1.395  143